Starting from the GGA-PBE geometry in Alexandria, the powder X-ray diffraction pattern of Pm4Pu6Ge7 was calculated for Cu Kα (λ = 1.5418 Å).
Kinematic intensities with the Lorentz-polarization factor, no thermal factor.

Cell and atoms:
```
data_Pm4Pu6Ge7
_chemical_formula_sum 'Pm8 Pu12 Ge14'
_cell_length_a 9.5570
_cell_length_b 9.5570
_cell_length_c 9.5570
_cell_angle_alpha 90.00
_cell_angle_beta 90.00
_cell_angle_gamma 90.00
_space_group_name_H-M_alt 'I m -3 m'
_space_group_IT_number 229
_space_group_name_Hall '-I 4 2 3'
loop_
_atom_site_label
_atom_site_type_symbol
_atom_site_fract_x
_atom_site_fract_y
_atom_site_fract_z
Pm1 Pm 0.2500 0.2500 0.2500
Pu1 Pu 0.0000 0.0000 0.3145
Ge1 Ge 0.0000 0.0000 0.0000
Ge2 Ge 0.0000 0.2500 0.5000
```

Main lines, low angle first (15 to 90 degrees two-theta):
22.8°, intensity 405, (2 1 1)
29.6°, intensity 423, (3 1 0)
32.5°, intensity 1000, (2 2 2)
37.6°, intensity 556, (4 0 0)
40.0°, intensity 470, (3 3 0)
44.5°, intensity 208, (3 3 2)
52.4°, intensity 214, (5 2 1)
54.3°, intensity 222, (4 4 0)
64.7°, intensity 174, (6 2 2)
72.7°, intensity 252, (6 3 3)

***

Starting from the GGA-PBE geometry in Alexandria, the powder X-ray diffraction pattern of Rb4H3I4 was calculated for Cu Kα (λ = 1.5418 Å).
Kinematic intensities with the Lorentz-polarization factor, no thermal factor.

Cell and atoms:
```
data_Rb4H3I4
_chemical_formula_sum 'Rb8 H6 I8'
_cell_length_a 14.8097
_cell_length_b 5.4253
_cell_length_c 12.1280
_cell_angle_alpha 90.00
_cell_angle_beta 90.00
_cell_angle_gamma 90.00
_space_group_name_H-M_alt 'A m m 2'
_space_group_IT_number 38
loop_
_space_group_symop_operation_xyz
'x,y,z'
'-x,-y,z'
'-x,y,z'
'x,-y,z'
'x,y+1/2,z+1/2'
'-x,-y+1/2,z+1/2'
'-x,y+1/2,z+1/2'
'x,-y+1/2,z+1/2'
loop_
_atom_site_label
_atom_site_type_symbol
_atom_site_fract_x
_atom_site_fract_y
_atom_site_fract_z
Rb1 Rb 0.0000 0.0000 0.0000
Rb2 Rb 0.2492 0.0000 0.6998
Rb3 Rb 0.5000 0.0000 0.9934
H1 H 0.2440 0.0000 0.3777
H2 H 0.5000 0.0000 0.3171
I1 I 0.0000 0.0000 0.6988
I2 I 0.2496 0.0000 0.9982
I3 I 0.5000 0.0000 0.6945
```

Main lines, low angle first (15 to 90 degrees two-theta):
17.9°, intensity 1000, (0 1 1)
24.0°, intensity 741, (4 0 0)
27.5°, intensity 946, (0 1 3)
30.1°, intensity 559, (4 1 1)
33.0°, intensity 324, (0 2 0)
36.9°, intensity 859, (4 1 3)
38.4°, intensity 299, (4 0 4)
41.3°, intensity 346, (4 2 0)
51.5°, intensity 346, (4 2 4)
61.5°, intensity 373, (4 3 3)

***

Starting from the GGA-PBE geometry in Alexandria, the powder X-ray diffraction pattern of AcEuSbAs was calculated for Cu Kα (λ = 1.5418 Å).
Kinematic intensities with the Lorentz-polarization factor, no thermal factor.

Cell and atoms:
```
data_AcEuSbAs
_chemical_formula_sum 'Ac4 Eu4 Sb4 As4'
_cell_length_a 7.8550
_cell_length_b 7.8550
_cell_length_c 7.8550
_cell_angle_alpha 90.00
_cell_angle_beta 90.00
_cell_angle_gamma 90.00
_space_group_name_H-M_alt 'F -4 3 m'
_space_group_IT_number 216
_space_group_name_Hall 'F -4 2 3'
loop_
_atom_site_label
_atom_site_type_symbol
_atom_site_fract_x
_atom_site_fract_y
_atom_site_fract_z
Ac1 Ac 0.0000 0.0000 0.0000
Eu1 Eu 0.0000 0.0000 0.5000
Sb1 Sb 0.2500 0.2500 0.2500
As1 As 0.2500 0.2500 0.7500
```

Main lines, low angle first (15 to 90 degrees two-theta):
19.6°, intensity 44, (1 1 1)
22.6°, intensity 108, (2 0 0)
32.2°, intensity 1000, (2 2 0)
39.8°, intensity 36, (2 2 2)
46.2°, intensity 184, (4 0 0)
52.1°, intensity 51, (4 2 0)
57.5°, intensity 386, (4 2 2)
67.4°, intensity 120, (4 4 0)
76.7°, intensity 167, (6 2 0)
85.7°, intensity 43, (4 4 4)